LaGa3Ir2: theoretical XRD peak list (Cu Kα, 1.54184 Å), based on the PBE geometry in Alexandria.

Most intense lines, 10 to 80 degrees two-theta, in order of rising 2θ:
| two_theta | I/Imax |
| --- | --- |
| 27.99 | 36.1 |
| 30.44 | 39.9 |
| 32.99 | 41.1 |
| 34.42 | 68.0 |
| 34.59 | 100.0 |
| 35.20 | 37.0 |
| 43.08 | 48.1 |
| 43.49 | 50.6 |
| 43.68 | 75.4 |
| 44.66 | 46.6 |

Atomic structure:
Cell: 16.8212 4.1445 9.9848 Å, 90.00 104.42 90.00°
Space group C2/m (No. 12)
Unique sites:
La1 0.0000 0.0000 0.0000
La2 0.1509 0.0000 0.6987
Ga1 0.0000 0.5000 0.5000
Ga2 0.0518 0.0000 0.3592
Ga3 0.1447 0.5000 0.1953
Ga4 0.1504 0.5000 0.9397
Ga5 0.2219 0.0000 0.3770
Ir1 0.0095 0.5000 0.7760
Ir2 0.1408 0.5000 0.4461
Ir3 0.2066 0.0000 0.0947

La4Ga2Ir: theoretical XRD peak list (Cu Kα, 1.54184 Å), based on the PBE geometry in Alexandria.

Most intense lines, 10 to 80 degrees two-theta, in order of rising 2θ:
| two_theta | I/Imax |
| --- | --- |
| 11.73 | 42.2 |
| 26.33 | 23.7 |
| 27.72 | 29.4 |
| 28.59 | 100.0 |
| 33.46 | 49.7 |
| 35.44 | 45.9 |
| 42.96 | 40.7 |
| 44.02 | 20.3 |
| 44.60 | 25.8 |
| 47.22 | 19.7 |

Atomic structure:
Cell: 13.1921 10.6265 7.6995 Å, 90.00 125.70 90.00°
Space group C2 (No. 5)
Unique sites:
La1 0.9998 0.0000 0.2305
La2 0.9998 0.4007 0.2695
La3 0.2277 0.6577 0.2279
La4 0.2287 0.7438 0.7285
Ga1 0.9999 0.7000 0.2524
Ga2 0.2501 0.4502 0.7494
Ir1 0.0000 0.1810 0.5000
Ir2 0.0000 0.2196 0.0000

LaGa2Ir: theoretical XRD peak list (Cu Kα, 1.54184 Å), based on the PBE geometry in Alexandria.

Most intense lines, 10 to 80 degrees two-theta, in order of rising 2θ:
| two_theta | I/Imax |
| --- | --- |
| 25.82 | 37.1 |
| 34.50 | 61.5 |
| 34.62 | 31.2 |
| 34.71 | 100.0 |
| 37.28 | 29.6 |
| 37.74 | 26.8 |
| 41.62 | 37.0 |
| 43.70 | 25.3 |
| 51.49 | 23.2 |
| 73.04 | 25.9 |

Atomic structure:
Cell: 15.8277 6.9017 5.9559 Å, 90.00 90.00 90.00°
Space group Pnma (No. 62)
Unique sites:
La1 0.1003 0.2500 0.2245
La2 0.1442 0.7500 0.4567
Ga1 0.0439 0.0583 0.7403
Ga2 0.2064 0.5568 0.9357
Ir1 0.0651 0.7500 0.0028
Ir2 0.1882 0.2500 0.6893

La3Ga2Ir7: theoretical XRD peak list (Cu Kα, 1.54184 Å), based on the PBE geometry in Alexandria.

Most intense lines, 10 to 80 degrees two-theta, in order of rising 2θ:
| two_theta | I/Imax |
| --- | --- |
| 18.72 | 22.9 |
| 34.21 | 34.7 |
| 37.43 | 59.6 |
| 37.96 | 33.9 |
| 38.88 | 100.0 |
| 41.55 | 53.9 |
| 43.49 | 26.9 |
| 45.36 | 26.3 |
| 61.77 | 40.4 |
| 67.16 | 36.0 |

Atomic structure:
Cell: 5.5751 5.5751 24.9716 Å, 90.00 90.00 120.00°
Space group R-3m (No. 166, hexagonal axes)
Unique sites:
La1 0.0000 0.0000 0.0000
La2 0.0000 0.0000 0.1406
Ga1 0.0000 0.0000 0.3352
Ir1 0.0000 0.0000 0.5000
Ir2 0.0043 0.5021 0.9189